[1]
Structure and simulated powder XRD pattern of LiCoSbO4 (the GGA+U geometry in Alexandria; Cu Kα (λ = 1.5418 Å)).

```
data_LiCoSbO4
_symmetry_space_group_name_H-M 'P 43 2 2'
_symmetry_Int_Tables_number 95
_symmetry_space_group_name_Hall 'P 4cw 2c'
_cell_length_a 6.131
_cell_length_b 6.131
_cell_length_c 8.588
_cell_angle_alpha 90.00
_cell_angle_beta 90.00
_cell_angle_gamma 90.00
loop_
_atom_site_label
_atom_site_fract_x
_atom_site_fract_y
_atom_site_fract_z
_atom_site_occupancy
Li1 0.000 0.209 0.000 1
Co1 0.251 0.251 0.625 1
Sb1 0.227 0.500 0.250 1
O1 0.017 0.262 0.252 1
O2 0.268 0.477 0.014 1
```

Top 6 peaks for 10° ≤ 2θ ≤ 80°, by intensity:
34.33 deg, I = 100
22.98 deg, I = 89
14.45 deg, I = 51
34.58 deg, I = 51
25.32 deg, I = 50
60.71 deg, I = 45

---

[2]
Structure and simulated powder XRD pattern of Cr2F3 (the GGA+U geometry in Alexandria; Cu Kα (λ = 1.5418 Å)).

```
data_Cr2F3
_symmetry_space_group_name_H-M 'R -3 c'
_symmetry_Int_Tables_number 167
_symmetry_space_group_name_Hall '-R 3 2"c'
_cell_length_a 5.7472
_cell_length_b 5.7472
_cell_length_c 14.8614
_cell_angle_alpha 90.00
_cell_angle_beta 90.00
_cell_angle_gamma 120.00
loop_
_atom_site_label
_atom_site_fract_x
_atom_site_fract_y
_atom_site_fract_z
_atom_site_occupancy
Cr1 0.0000 0.0000 0.1466 1
F1 0.0000 0.3017 0.2500 1
```

Top 6 peaks for 10° ≤ 2θ ≤ 80°, by intensity:
30.01 deg, I = 100
31.12 deg, I = 78
48.52 deg, I = 72
55.38 deg, I = 51
43.78 deg, I = 49
21.49 deg, I = 43